(1)
Simulated XRD peak list
Compound: LaTb5Hg4
Radiation: Cu Ka
Structure: DFT lattice parameters and positions (PBE)

Most intense lines, 10 to 90 degrees two-theta, by angle:
- 2.727 Å, I 100, hkl 1 0 5
- 2.635 Å, I 57, hkl 1 1 0
- 2.485 Å, I 19, hkl 1 0 6
- 1.863 Å, I 21, hkl 2 0 0
- 1.593 Å, I 10, hkl 1 1 10
- 1.538 Å, I 36, hkl 2 1 5
- 1.497 Å, I 11, hkl 1 1 11
- 1.491 Å, I 8, hkl 2 1 6
- 1.186 Å, I 15, hkl 3 0 5
- 1.178 Å, I 10, hkl 3 1 0

Crystal structure
abc: 3.726 3.726 20.009
angles: 90.00 90.00 90.00
Space group P4/mmm (No. 123)
Unique sites:
La (0.000, 0.000, 0.000)
Tb (0.500, 0.500, 0.126)
Tb (0.500, 0.500, 0.313)
Tb (0.500, 0.500, 0.500)
Hg (0.000, 0.000, 0.217)
Hg (0.000, 0.000, 0.405)


(2)
Simulated XRD peak list
Compound: La3Tb2Hg2
Radiation: Cu Ka
Structure: DFT lattice parameters and positions (PBE)

Most intense lines, 10 to 90 degrees two-theta, by angle:
- 2.905 Å, I 99, hkl 1 1 1
- 2.797 Å, I 100, hkl 1 7 0
- 2.652 Å, I 31, hkl 0 6 1
- 2.517 Å, I 38, hkl 2 0 0
- 2.278 Å, I 31, hkl 0 8 1
- 1.826 Å, I 21, hkl 2 6 1
- 1.689 Å, I 25, hkl 2 8 1
- 1.513 Å, I 31, hkl 1 7 2
- 1.502 Å, I 15, hkl 3 7 0
- 1.383 Å, I 15, hkl 1 15 1

Crystal structure
abc: 5.034 23.549 3.597
angles: 90.00 90.00 90.00
Space group Cmmm (No. 65)
Unique sites:
La (0.000, 0.000, 0.000)
La (0.000, 0.142, 0.000)
Tb (0.000, 0.291, 0.500)
Hg (0.000, 0.429, 0.500)


(3)
Simulated XRD peak list
Compound: La2Tb3Hg3
Radiation: Cu Ka
Structure: DFT lattice parameters and positions (PBE)

Most intense lines, 10 to 90 degrees two-theta, by angle:
- 2.851 Å, I 21, hkl 0 0 8
- 2.724 Å, I 100, hkl 1 1 4
- 2.660 Å, I 26, hkl 0 2 0
- 2.403 Å, I 9, hkl 1 1 6
- 1.945 Å, I 14, hkl 0 2 8
- 1.908 Å, I 10, hkl 2 0 0
- 1.620 Å, I 9, hkl 1 1 12
- 1.550 Å, I 10, hkl 2 2 0
- 1.548 Å, I 18, hkl 1 3 4
- 1.442 Å, I 9, hkl 1 1 14

Crystal structure
abc: 3.816 5.319 22.804
angles: 90.00 90.00 90.00
Space group Immm (No. 71)
Unique sites:
La (0.000, 0.000, 0.229)
Tb (0.000, 0.000, 0.000)
Tb (0.000, 0.500, 0.116)
Hg (0.000, 0.000, 0.500)
Hg (0.000, 0.500, 0.389)


(4)
Simulated XRD peak list
Compound: La5TbHg2
Radiation: Cu Ka
Structure: DFT lattice parameters and positions (PBE)

Most intense lines, 10 to 90 degrees two-theta, by angle:
- 4.854 Å, I 11, hkl 1 0 0
- 3.372 Å, I 10, hkl 0 0 6
- 2.802 Å, I 100, hkl 1 1 0
- 2.769 Å, I 56, hkl 1 0 6
- 2.483 Å, I 18, hkl 1 0 7
- 2.155 Å, I 19, hkl 1 1 6
- 1.970 Å, I 21, hkl 2 0 6
- 1.618 Å, I 19, hkl 3 0 0
- 1.612 Å, I 22, hkl 2 1 6
- 1.401 Å, I 12, hkl 2 2 0

Crystal structure
abc: 5.6050 5.6050 20.2301
angles: 90.00 90.00 120.00
Space group P6_3/mmc (No. 194)
Unique sites:
La (0.0000, 0.0000, 0.1596)
La (0.3333, 0.6667, 0.0613)
La (0.3333, 0.6667, 0.2500)
Tb (0.3333, 0.6667, 0.7500)
Hg (0.3333, 0.6667, 0.5989)


(5)
Simulated XRD peak list
Compound: LaTb4Hg5
Radiation: Cu Ka
Structure: DFT lattice parameters and positions (PBE)

Most intense lines, 10 to 90 degrees two-theta, by angle:
- 2.671 Å, I 100, hkl 1 0 5
- 2.658 Å, I 52, hkl 1 1 0
- 1.898 Å, I 8, hkl 0 0 10
- 1.880 Å, I 19, hkl 2 0 0
- 1.545 Å, I 17, hkl 1 1 10
- 1.537 Å, I 38, hkl 2 1 5
- 1.336 Å, I 10, hkl 2 0 10
- 1.329 Å, I 6, hkl 2 2 0
- 1.199 Å, I 6, hkl 1 0 15
- 1.189 Å, I 17, hkl 3 1 0

Crystal structure
abc: 3.759 3.759 18.983
angles: 90.00 90.00 90.00
Space group P4/mmm (No. 123)
Unique sites:
La (0.000, 0.000, 0.000)
Tb (0.000, 0.000, 0.207)
Tb (0.000, 0.000, 0.403)
Hg (0.500, 0.500, 0.113)
Hg (0.500, 0.500, 0.304)
Hg (0.500, 0.500, 0.500)


(6)
Simulated XRD peak list
Compound: La6TbHg5
Radiation: Cu Ka
Structure: DFT lattice parameters and positions (PBE)

Most intense lines, 10 to 90 degrees two-theta, by angle:
- 2.815 Å, I 24, hkl 0 0 3
- 2.785 Å, I 100, hkl 1 2 1
- 2.743 Å, I 25, hkl 2 0 -1
- 1.974 Å, I 9, hkl 0 4 0
- 1.964 Å, I 17, hkl 2 0 -4
- 1.620 Å, I 16, hkl 1 2 4
- 1.617 Å, I 9, hkl 0 4 3
- 1.602 Å, I 10, hkl 2 4 -1
- 1.592 Å, I 19, hkl 3 2 0
- 1.393 Å, I 11, hkl 2 4 -4

Crystal structure
abc: 5.485 7.898 8.879
angles: 90.00 107.97 90.00
Space group P2/m (No. 10)
Unique sites:
La (0.000, 0.226, 0.000)
La (0.327, 0.253, 0.652)
Tb (0.500, 0.500, 0.000)
Hg (0.147, 0.500, 0.296)
Hg (0.167, 0.000, 0.336)
Hg (0.500, 0.000, 0.000)


(7)
Simulated XRD peak list
Compound: La7Tc2Hg2
Radiation: Cu Ka
Structure: DFT lattice parameters and positions (PBE)

Most intense lines, 10 to 90 degrees two-theta, by angle:
- 3.434 Å, I 18, hkl 1 2 1
- 3.270 Å, I 27, hkl 1 3 0
- 3.104 Å, I 34, hkl 1 1 2
- 2.848 Å, I 67, hkl 0 3 3
- 2.784 Å, I 100, hkl 1 4 1
- 2.741 Å, I 73, hkl 0 6 0
- 2.462 Å, I 30, hkl 1 2 3
- 2.113 Å, I 19, hkl 1 1 4
- 2.040 Å, I 30, hkl 2 0 0
- 1.659 Å, I 27, hkl 2 3 3

Crystal structure
abc: 4.080 16.470 9.994
angles: 90.00 90.00 90.00
Space group Imm2 (No. 44)
Unique sites:
La (0.000, 0.000, 0.000)
La (0.000, 0.134, 0.419)
La (0.000, 0.319, 0.616)
La (0.000, 0.346, 0.265)
Tc (0.000, 0.239, 0.937)
Hg (0.000, 0.000, 0.672)
Hg (0.000, 0.500, 0.769)


(8)
Simulated XRD peak list
Compound: La5TcHg2
Radiation: Cu Ka
Structure: DFT lattice parameters and positions (PBE)

Most intense lines, 10 to 90 degrees two-theta, by angle:
- 3.060 Å, I 100, hkl 2 1 1
- 2.926 Å, I 69, hkl 1 3 1
- 2.857 Å, I 39, hkl 1 4 0
- 2.806 Å, I 50, hkl 2 2 1
- 2.588 Å, I 25, hkl 0 4 1
- 2.509 Å, I 19, hkl 3 2 0
- 2.456 Å, I 50, hkl 0 0 2
- 2.110 Å, I 16, hkl 1 5 1
- 1.862 Å, I 22, hkl 1 4 2
- 1.755 Å, I 13, hkl 3 2 2

Crystal structure
abc: 8.260 12.179 4.912
angles: 90.00 90.00 90.00
Space group Pbam (No. 55)
Unique sites:
La (0.000, 0.000, 0.000)
La (0.136, 0.300, 0.000)
La (0.186, 0.570, 0.500)
Tc (0.000, 0.500, 0.000)
Hg (0.079, 0.832, 0.500)